(1)
SiO2: computed PXRD pattern (Cu Kα (weighted mean of Kα1 and Kα2)), based on DFT lattice parameters and positions (PBE).

Cell and atoms:
abc: 5.768 5.768 11.315
angles: 90.00 90.00 93.98
Atoms (fractional coordinates):
Si (0.010, 0.381, 0.129)
Si (0.119, 0.490, 0.629)
Si (0.381, 0.010, 0.629)
Si (0.490, 0.119, 0.129)
Si (0.510, 0.881, 0.871)
Si (0.619, 0.990, 0.371)
Si (0.881, 0.510, 0.371)
Si (0.990, 0.619, 0.871)
O (0.000, 0.500, 0.000)
O (0.000, 0.500, 0.500)
O (0.038, 0.538, 0.250)
O (0.250, 0.250, 0.126)
O (0.250, 0.250, 0.626)
O (0.250, 0.750, 0.636)
O (0.250, 0.750, 0.864)
O (0.462, 0.962, 0.250)
O (0.500, 0.000, 0.000)
O (0.500, 0.000, 0.500)
O (0.538, 0.038, 0.750)
O (0.750, 0.250, 0.136)
O (0.750, 0.250, 0.364)
O (0.750, 0.750, 0.374)
O (0.750, 0.750, 0.874)
O (0.962, 0.462, 0.750)

The 8 most intense peaks (2θ = 10–90°), in order of falling intensity:
2theta, d (Å), I_rel
21.07, 4.217, 100
22.03, 4.034, 95
22.60, 3.934, 89
17.29, 5.129, 57
28.29, 3.154, 20
31.63, 2.829, 19
42.92, 2.107, 19
37.50, 2.398, 17

---

(2)
Pm2PrI: computed PXRD pattern (Cu Kα (weighted mean of Kα1 and Kα2)), based on DFT lattice parameters and positions (PBE).

Cell and atoms:
abc: 3.842 3.842 32.452
angles: 90.00 90.00 120.00
Atoms (fractional coordinates):
Pm (0.000, 0.000, 0.000)
Pm (0.000, 0.000, 0.179)
Pm (0.333, 0.667, 0.667)
Pm (0.333, 0.667, 0.846)
Pm (0.667, 0.333, 0.333)
Pm (0.667, 0.333, 0.513)
Pr (0.000, 0.000, 0.423)
Pr (0.333, 0.667, 0.089)
Pr (0.667, 0.333, 0.756)
I (0.000, 0.000, 0.590)
I (0.333, 0.667, 0.256)
I (0.667, 0.333, 0.923)

The 8 most intense peaks (2θ = 10–90°), in order of falling intensity:
2theta, d (Å), I_rel
30.18, 2.961, 100
33.13, 2.704, 87
58.98, 1.566, 45
47.32, 1.921, 38
27.36, 3.260, 25
55.50, 1.656, 22
38.76, 2.323, 21
57.15, 1.612, 16